# 1
Na2TlCuF6: computed powder diffractogram (Cu Kα, 1.54184 Å), based on a crystal structure in the Materials Project, relaxed with GGA-PBE.
Peak positions follow from Bragg's law for the DFT cell and can differ from measured ones.

Cell and atoms:
```
Na2TlCuF6
1.0
0.000 4.323 4.323
4.323 0.000 4.323
4.323 4.323 0.000
Na Tl Cu F
2 1 1 6
direct
0.250 0.250 0.250
0.750 0.750 0.750
0.000 0.000 0.000
0.500 0.500 0.500
0.265 0.265 0.735
0.265 0.735 0.265
0.265 0.735 0.735
0.735 0.265 0.265
0.735 0.265 0.735
0.735 0.735 0.265
```

Top 10 peaks for 2θ from 10° to 80°, low angle first:
d [Å], I (rel.)
4.992, 37
4.323, 100
3.057, 96
2.607, 29
2.162, 43
1.933, 44
1.765, 39
1.529, 26
1.441, 21
1.367, 18

# 2
Te2MoW2Se2S2: computed powder diffractogram (Cu Kα, 1.54184 Å), based on a crystal structure in the Materials Project, relaxed with GGA-PBE.
Peak positions follow from Bragg's law for the DFT cell and can differ from measured ones.

Cell and atoms:
```
Te2MoW2Se2S2
1.0
3.346 0.000 0.000
-1.673 2.897 0.000
0.000 0.000 31.004
Te Mo W Se S
2 1 2 2 2
direct
0.000 0.000 0.000
0.000 0.000 0.122
0.667 0.333 0.061
0.000 0.000 0.293
0.667 0.333 0.524
0.667 0.333 0.239
0.667 0.333 0.346
0.000 0.000 0.475
0.000 0.000 0.573
```

Top 10 peaks for 2θ from 10° to 80°, low angle first:
d [Å], I (rel.)
7.751, 100
6.201, 23
2.897, 26
2.885, 21
2.714, 13
2.527, 46
2.425, 54
2.117, 23
2.020, 36
1.672, 28

# 3
TiSCl6O: computed powder diffractogram (Cu Kα, 1.54184 Å), based on a crystal structure in the Materials Project, relaxed with GGA-PBE.
Peak positions follow from Bragg's law for the DFT cell and can differ from measured ones.

Cell and atoms:
```
TiSCl6O
1.0
6.891 0.000 0.000
0.000 22.023 0.000
-3.142 0.000 6.909
Ti S Cl O
4 4 24 4
direct
0.006 0.071 0.153
0.006 0.429 0.653
0.994 0.571 0.347
0.994 0.929 0.847
0.372 0.640 0.821
0.372 0.860 0.321
0.628 0.140 0.679
0.628 0.360 0.179
0.177 0.158 0.161
0.177 0.342 0.661
0.192 0.025 0.965
0.192 0.475 0.465
0.208 0.720 0.817
0.208 0.780 0.317
0.227 0.033 0.433
0.227 0.467 0.933
0.248 0.603 0.262
0.248 0.897 0.762
0.398 0.175 0.760
0.398 0.325 0.260
0.602 0.675 0.740
0.602 0.825 0.240
0.752 0.103 0.238
0.752 0.397 0.738
0.773 0.533 0.067
0.773 0.967 0.567
0.792 0.220 0.683
0.792 0.280 0.183
0.808 0.525 0.535
0.808 0.975 0.035
0.823 0.658 0.339
0.823 0.842 0.839
0.230 0.601 0.664
0.230 0.899 0.164
0.770 0.101 0.836
0.770 0.399 0.336
```

Top 10 peaks for 2θ from 10° to 80°, low angle first:
d [Å], I (rel.)
5.840, 77
5.451, 52
5.307, 66
4.306, 100
3.683, 70
3.411, 36
3.296, 36
2.924, 71
2.812, 88
2.653, 42